Entry 1:
Starting from DFT lattice parameters and positions (PBE+U), the X-ray diffraction stick pattern of KEuDyWO6 was computed for copper Kα.

Largest 6 diffraction maxima, low angle first, 10° ≤ 2θ ≤ 90°:
- 30.2 deg, I 100.0
- 43.2 deg, I 29.1
- 53.6 deg, I 40.3
- 62.8 deg, I 18.1
- 71.3 deg, I 17.9
- 87.1 deg, I 21.7

Cell and atoms:
```
data_KEuDyWO6
_chemical_formula_sum 'K1 Eu1 Dy1 W1 O6'
_symmetry_space_group_name_H-M 'P 1'
_symmetry_Int_Tables_number 1
_symmetry_space_group_name_Hall 'P 1'
_cell_length_a 5.919
_cell_length_b 5.919
_cell_length_c 5.919
_cell_angle_alpha 60.00
_cell_angle_beta 60.00
_cell_angle_gamma 60.00
loop_
_atom_site_label
_atom_site_type_symbol
_atom_site_fract_x
_atom_site_fract_y
_atom_site_fract_z
_atom_site_occupancy
K1 K 0.000 0.000 0.000 1
Eu1 Eu 0.500 0.500 0.500 1
Dy1 Dy 0.750 0.750 0.750 1
W1 W 0.250 0.250 0.250 1
O1 O 0.017 0.017 0.483 1
O2 O 0.017 0.483 0.017 1
O3 O 0.017 0.483 0.483 1
O4 O 0.483 0.017 0.017 1
O5 O 0.483 0.017 0.483 1
O6 O 0.483 0.483 0.017 1
```

Entry 2:
Starting from DFT lattice parameters and positions (PBE+U), the X-ray diffraction stick pattern of K2MgMo2P2Cl2O10 was computed for copper Kα.

Largest 6 diffraction maxima, low angle first, 10° ≤ 2θ ≤ 90°:
- 11.9 deg, I 100.0
- 19.0 deg, I 25.4
- 27.0 deg, I 89.6
- 28.2 deg, I 24.9
- 30.9 deg, I 29.9
- 34.0 deg, I 24.8

Cell and atoms:
```
data_K2MgMo2P2Cl2O10
_chemical_formula_sum 'K2 Mg1 Mo2 P2 Cl2 O10'
_symmetry_space_group_name_H-M 'P 1'
_symmetry_Int_Tables_number 1
_symmetry_space_group_name_Hall 'P 1'
_cell_length_a 6.662
_cell_length_b 6.662
_cell_length_c 7.558
_cell_angle_alpha 96.71
_cell_angle_beta 96.71
_cell_angle_gamma 92.11
loop_
_atom_site_label
_atom_site_type_symbol
_atom_site_fract_x
_atom_site_fract_y
_atom_site_fract_z
_atom_site_occupancy
K1 K 0.186 0.814 0.000 1
K2 K 0.814 0.186 0.000 1
Mg1 Mg 0.530 0.530 0.308 1
Mo1 Mo 0.363 0.363 0.668 1
Mo2 Mo 0.849 0.849 0.492 1
P1 P 0.347 0.846 0.576 1
P2 P 0.846 0.347 0.576 1
Cl1 Cl 0.359 0.359 0.027 1
Cl2 Cl 0.747 0.747 0.132 1
O1 O 0.052 0.377 0.692 1
O2 O 0.151 0.829 0.443 1
O3 O 0.355 0.355 0.425 1
O4 O 0.355 0.683 0.708 1
O5 O 0.377 0.052 0.692 1
O6 O 0.519 0.808 0.452 1
O7 O 0.683 0.355 0.708 1
O8 O 0.808 0.519 0.452 1
O9 O 0.829 0.151 0.443 1
O10 O 0.894 0.894 0.735 1
```

Entry 3:
Starting from DFT lattice parameters and positions (PBE+U), the X-ray diffraction stick pattern of LiV3P3H2O12 was computed for copper Kα.

Largest 6 diffraction maxima, low angle first, 10° ≤ 2θ ≤ 90°:
- 14.2 deg, I 83.1
- 16.3 deg, I 31.4
- 25.5 deg, I 40.7
- 28.0 deg, I 100.0
- 32.7 deg, I 62.7
- 33.1 deg, I 48.0

Cell and atoms:
```
data_LiV3P3H2O12
_chemical_formula_sum 'Li2 V6 P6 H4 O24'
_symmetry_space_group_name_H-M 'P 1'
_symmetry_Int_Tables_number 1
_symmetry_space_group_name_Hall 'P 1'
_cell_length_a 8.672
_cell_length_b 8.672
_cell_length_c 6.685
_cell_angle_alpha 107.28
_cell_angle_beta 107.28
_cell_angle_gamma 91.96
loop_
_atom_site_label
_atom_site_type_symbol
_atom_site_fract_x
_atom_site_fract_y
_atom_site_fract_z
_atom_site_occupancy
Li1 Li 0.011 0.989 0.750 1
Li2 Li 0.989 0.011 0.250 1
V1 V 0.043 0.368 0.617 1
V2 V 0.287 0.713 0.250 1
V3 V 0.368 0.043 0.117 1
V4 V 0.632 0.957 0.883 1
V5 V 0.713 0.287 0.750 1
V6 V 0.957 0.632 0.383 1
P1 P 0.100 0.320 0.104 1
P2 P 0.320 0.100 0.604 1
P3 P 0.324 0.676 0.750 1
P4 P 0.676 0.324 0.250 1
P5 P 0.680 0.900 0.396 1
P6 P 0.900 0.680 0.896 1
H1 H 0.375 0.378 0.187 1
H2 H 0.378 0.375 0.687 1
H3 H 0.622 0.625 0.313 1
H4 H 0.625 0.622 0.813 1
O1 O 0.023 0.676 0.116 1
O2 O 0.037 0.390 0.300 1
O3 O 0.135 0.143 0.076 1
O4 O 0.143 0.135 0.576 1
O5 O 0.217 0.712 0.541 1
O6 O 0.263 0.435 0.147 1
O7 O 0.288 0.783 0.959 1
O8 O 0.289 0.495 0.735 1
O9 O 0.324 0.977 0.384 1
O10 O 0.390 0.037 0.800 1
O11 O 0.435 0.263 0.647 1
O12 O 0.495 0.289 0.235 1
O13 O 0.505 0.711 0.765 1
O14 O 0.565 0.737 0.353 1
O15 O 0.610 0.963 0.200 1
O16 O 0.676 0.023 0.616 1
O17 O 0.711 0.505 0.265 1
O18 O 0.712 0.217 0.041 1
O19 O 0.737 0.565 0.853 1
O20 O 0.783 0.288 0.459 1
O21 O 0.857 0.865 0.424 1
O22 O 0.865 0.857 0.924 1
O23 O 0.963 0.610 0.700 1
O24 O 0.977 0.324 0.884 1
```

> What is the formula in the first record?

KEuDyWO6